1.
Theoretical powder X-ray diffraction pattern
Compound: CsTiCoCl6
Radiation: Cu Ka
Structure: a DFT-relaxed cell (PBE, Alexandria)

Cell: 6.438 6.438 7.761 Å, 90.11 90.11 119.97°
Atoms (fractional coordinates):
Cs  0.000  0.000  0.000
Ti  0.666  0.334  0.500
Co  0.333  0.667  0.500
Cl  0.384  0.007  0.677
Cl  0.387  0.381  0.321
Cl  0.619  0.613  0.679
Cl  0.622  0.007  0.322
Cl  0.993  0.378  0.678
Cl  0.993  0.616  0.323

Largest 12 diffraction maxima, by angle, 15 to 90 degrees two-theta:
2θ = 19.60°, I 100.0
2θ = 27.71°, I 10.0
2θ = 28.01°, I 9.6
2θ = 30.05°, I 23.5
2θ = 34.17°, I 13.2
2θ = 36.19°, I 20.6
2θ = 36.30°, I 33.8
2θ = 38.36°, I 10.1
2θ = 44.55°, I 22.0
2θ = 47.93°, I 10.3
2θ = 49.01°, I 15.6
2θ = 61.10°, I 11.9

=====

2.
Theoretical powder X-ray diffraction pattern
Compound: CsTmCo2Cl8
Radiation: Cu Ka
Structure: a DFT-relaxed cell (PBE, Alexandria)

Cell: 6.461 6.461 10.183 Å, 95.94 95.94 68.30°
Atoms (fractional coordinates):
Cs  0.000  0.000  0.000
Tm  0.000  0.000  0.500
Co  0.385  0.385  0.701
Co  0.615  0.615  0.299
Cl  0.234  0.737  0.311
Cl  0.245  0.245  0.513
Cl  0.263  0.766  0.689
Cl  0.316  0.316  0.894
Cl  0.684  0.684  0.106
Cl  0.737  0.234  0.311
Cl  0.755  0.755  0.487
Cl  0.766  0.263  0.689

Largest 12 diffraction maxima, by angle, 15 to 90 degrees two-theta:
2θ = 16.70°, I 100.0
2θ = 22.21°, I 80.0
2θ = 23.83°, I 72.5
2θ = 24.55°, I 43.0
2θ = 28.07°, I 63.8
2θ = 30.34°, I 44.5
2θ = 31.52°, I 25.7
2θ = 33.75°, I 29.8
2θ = 35.93°, I 20.8
2θ = 39.70°, I 19.3
2θ = 47.78°, I 35.3
2θ = 50.31°, I 20.9

=====

3.
Theoretical powder X-ray diffraction pattern
Compound: CsUCo2Cl8
Radiation: Cu Ka
Structure: a DFT-relaxed cell (PBE, Alexandria)

Cell: 11.028 11.028 11.028 Å, 34.35 34.35 34.35°
Atoms (fractional coordinates):
Cs  0.000  0.000  0.000
U  0.500  0.500  0.500
Co  0.243  0.243  0.243
Co  0.757  0.757  0.757
Cl  0.115  0.779  0.452
Cl  0.221  0.548  0.885
Cl  0.314  0.314  0.314
Cl  0.452  0.115  0.779
Cl  0.548  0.885  0.221
Cl  0.686  0.686  0.686
Cl  0.779  0.452  0.115
Cl  0.885  0.221  0.548

Largest 12 diffraction maxima, by angle, 15 to 90 degrees two-theta:
2θ = 16.72°, I 17.8
2θ = 19.44°, I 100.0
2θ = 27.39°, I 37.4
2θ = 27.87°, I 28.8
2θ = 32.47°, I 33.7
2θ = 33.81°, I 24.4
2θ = 39.47°, I 12.0
2θ = 44.04°, I 23.7
2θ = 44.69°, I 31.7
2θ = 48.41°, I 22.1
2θ = 48.71°, I 13.0
2θ = 49.61°, I 9.9

=====

4.
Theoretical powder X-ray diffraction pattern
Compound: Cs2CoWCl6
Radiation: Cu Ka
Structure: a DFT-relaxed cell (PBE, Alexandria)

Cell: 7.159 7.159 7.159 Å, 120.08 120.08 89.87°
Atoms (fractional coordinates):
Cs  0.250  0.750  0.500
Cs  0.750  0.250  0.500
Co  0.000  0.000  0.000
W  0.500  0.500  0.000
Cl  0.254  0.254  0.000
Cl  0.254  0.254  0.507
Cl  0.254  0.746  0.000
Cl  0.746  0.254  0.000
Cl  0.746  0.746  0.000
Cl  0.746  0.746  0.493

Largest 12 diffraction maxima, by angle, 15 to 90 degrees two-theta:
2θ = 15.16°, I 16.9
2θ = 24.88°, I 100.0
2θ = 29.27°, I 9.7
2θ = 30.60°, I 11.9
2θ = 35.48°, I 55.4
2θ = 43.82°, I 44.9
2θ = 51.05°, I 37.2
2θ = 57.64°, I 13.5
2θ = 63.71°, I 12.5
2θ = 69.48°, I 15.5
2θ = 69.55°, I 7.7
2θ = 85.95°, I 11.1